1.
This entry pairs a crystal structure of Rb2BaP2S7 with its calculated X-ray powder pattern. Radiation: Cu Kα (λ = 1.5418 Å). Structure: a crystal structure in Alexandria, relaxed with PBE.
Lines closer than 0.1° are merged.

Structure:
Cell: 6.4527 6.4527 28.7821 Å, 90.00 90.00 120.00°
Space group R32 (No. 155, hexagonal axes)
Asymmetric unit:
Rb: 0.0000 0.0000 0.1604
Ba: 0.0000 0.0000 0.0000
P: 0.0000 0.0000 0.4201
S: 0.0000 0.0000 0.5000
S: 0.0044 0.3934 0.0715

Principal peaks in the range 10° ≤ 2θ ≤ 90°, in order of rising 2θ:
22.17 deg, intensity 54
26.92 deg, intensity 63
27.65 deg, intensity 70
33.47 deg, intensity 100
47.22 deg, intensity 29
48.90 deg, intensity 31


2.
This entry pairs a crystal structure of LiLa2Mg16 with its calculated X-ray powder pattern. Radiation: Cu Kα (λ = 1.5418 Å). Structure: a crystal structure in Alexandria, relaxed with PBE.
Lines closer than 0.1° are merged.

Structure:
Cell: 10.3402 10.3402 15.2495 Å, 90.00 90.00 120.00°
Space group R3m (No. 160, hexagonal axes)
Asymmetric unit:
Li: 0.0000 0.0000 0.0000
La: 0.0000 0.0000 0.4310
La: 0.0000 0.0000 0.7645
Mg: 0.0000 0.0000 0.1950
Mg: 0.9998 0.2999 0.0982
Mg: 0.0034 0.5017 0.5983
Mg: 0.0063 0.5032 0.2506
Mg: 0.1697 0.3394 0.2790

Principal peaks in the range 10° ≤ 2θ ≤ 90°, in order of rising 2θ:
11.46 deg, intensity 29
17.15 deg, intensity 28
24.56 deg, intensity 78
29.93 deg, intensity 43
34.70 deg, intensity 49
34.86 deg, intensity 100


3.
This entry pairs a crystal structure of Ho2Pu2Se7 with its calculated X-ray powder pattern. Radiation: Cu Kα (λ = 1.5418 Å). Structure: a crystal structure in Alexandria, relaxed with PBE.
Lines closer than 0.1° are merged.

Structure:
Cell: 4.9069 4.9069 13.0336 Å, 90.00 90.00 90.00°
Space group P-4m2 (No. 115)
Asymmetric unit:
Ho: 0.0000 0.5000 0.1378
Pu: 0.0000 0.5000 0.6242
Se: 0.0000 0.0000 0.2302
Se: 0.0000 0.0000 0.5000
Se: 0.5000 0.5000 0.0000
Se: 0.5000 0.5000 0.2564
Se: 0.5000 0.5000 0.5000

Principal peaks in the range 10° ≤ 2θ ≤ 90°, in order of rising 2θ:
22.68 deg, intensity 100
36.63 deg, intensity 43
37.88 deg, intensity 74
43.51 deg, intensity 39
52.77 deg, intensity 15
66.77 deg, intensity 28


4.
This entry pairs a crystal structure of Np3Ni6P5 with its calculated X-ray powder pattern. Radiation: Cu Kα (λ = 1.5418 Å). Structure: a crystal structure in Alexandria, relaxed with PBE.
Lines closer than 0.1° are merged.

Structure:
Cell: 3.7667 11.5517 9.3558 Å, 90.00 90.00 90.00°
Space group Pmmn (No. 59, origin choice 2)
Asymmetric unit:
Np: 0.2500 0.0932 0.2478
Np: 0.2500 0.7500 0.2434
Ni: 0.2500 0.0642 0.8926
Ni: 0.2500 0.2500 0.0129
Ni: 0.2500 0.2500 0.5139
Ni: 0.2500 0.5791 0.4936
P: 0.2500 0.0793 0.6483
P: 0.2500 0.6213 0.9850
P: 0.2500 0.7500 0.6253

Principal peaks in the range 10° ≤ 2θ ≤ 90°, in order of rising 2θ:
25.01 deg, intensity 38
25.49 deg, intensity 37
33.27 deg, intensity 23
37.10 deg, intensity 35
37.44 deg, intensity 35
38.57 deg, intensity 100


5.
This entry pairs a crystal structure of TmBe4Cr with its calculated X-ray powder pattern. Radiation: Cu Kα (λ = 1.5418 Å). Structure: a crystal structure in Alexandria, relaxed with PBE.
Lines closer than 0.1° are merged.

Structure:
Cell: 6.6080 6.6080 6.6080 Å, 90.00 90.00 90.00°
Space group F-43m (No. 216)
Asymmetric unit:
Tm: 0.0000 0.0000 0.0000
Be: 0.1227 0.1227 0.3773
Cr: 0.2500 0.2500 0.7500

Principal peaks in the range 10° ≤ 2θ ≤ 90°, in order of rising 2θ:
23.32 deg, intensity 100
26.99 deg, intensity 25
38.53 deg, intensity 75
45.53 deg, intensity 66
61.13 deg, intensity 22
69.71 deg, intensity 25


6.
This entry pairs a crystal structure of Pr4NdDy2 with its calculated X-ray powder pattern. Radiation: Cu Kα (λ = 1.5418 Å). Structure: a crystal structure in Alexandria, relaxed with PBE.
Lines closer than 0.1° are merged.

Structure:
Cell: 12.1721 24.5809 6.5366 Å, 90.00 90.00 90.00°
Space group Fdd2 (No. 43)
Asymmetric unit:
Pr: 0.0480 0.0715 0.0000
Pr: 0.0628 0.1436 0.5247
Nd: 0.0000 0.0000 0.4905
Dy: 0.0249 0.2161 0.0468

Principal peaks in the range 10° ≤ 2θ ≤ 90°, in order of rising 2θ:
29.80 deg, intensity 100
30.26 deg, intensity 31
31.06 deg, intensity 67
31.70 deg, intensity 30
36.53 deg, intensity 30
54.42 deg, intensity 23


7.
This entry pairs a crystal structure of Rb2LiGeAs2 with its calculated X-ray powder pattern. Radiation: Cu Kα (λ = 1.5418 Å). Structure: a crystal structure in Alexandria, relaxed with PBE.
Lines closer than 0.1° are merged.

Structure:
Cell: 6.6063 15.8692 6.6168 Å, 90.00 90.00 90.00°
Space group Ibam (No. 72)
Asymmetric unit:
Rb: 0.2372 0.1704 0.0000
Li: 0.0000 0.0000 0.2500
Ge: 0.0000 0.5000 0.2500
As: 0.2354 0.4131 0.0000

Principal peaks in the range 10° ≤ 2θ ≤ 90°, in order of rising 2θ:
26.97 deg, intensity 47
29.53 deg, intensity 100
35.34 deg, intensity 44
38.51 deg, intensity 49
49.26 deg, intensity 45
49.94 deg, intensity 21


8.
This entry pairs a crystal structure of Dy2Pd3Pt3 with its calculated X-ray powder pattern. Radiation: Cu Kα (λ = 1.5418 Å). Structure: a crystal structure in Alexandria, relaxed with PBE.
Lines closer than 0.1° are merged.

Structure:
Cell: 4.0938 4.1135 8.2995 Å, 90.00 90.00 90.00°
Space group Pmmm (No. 47)
Asymmetric unit:
Dy: 0.0000 0.0000 0.2500
Pd: 0.5000 0.0000 0.0000
Pd: 0.5000 0.5000 0.2495
Pt: 0.0000 0.5000 0.0000
Pt: 0.0000 0.5000 0.5000
Pt: 0.5000 0.0000 0.5000

Principal peaks in the range 10° ≤ 2θ ≤ 90°, in order of rising 2θ:
37.83 deg, intensity 100
43.62 deg, intensity 17
44.03 deg, intensity 16
44.25 deg, intensity 16
76.25 deg, intensity 13
76.83 deg, intensity 13


9.
This entry pairs a crystal structure of Li2Pr3Hg5 with its calculated X-ray powder pattern. Radiation: Cu Kα (λ = 1.5418 Å). Structure: a crystal structure in Alexandria, relaxed with PBE.
Lines closer than 0.1° are merged.

Structure:
Cell: 11.0769 11.0769 3.9893 Å, 90.00 90.00 90.00°
Space group P4/mbm (No. 127)
Asymmetric unit:
Li: 0.1153 0.3847 0.0000
Pr: 0.0000 0.0000 0.0000
Pr: 0.1784 0.6784 0.0000
Hg: 0.0000 0.5000 0.5000
Hg: 0.0641 0.2177 0.5000

Principal peaks in the range 10° ≤ 2θ ≤ 90°, in order of rising 2θ:
28.73 deg, intensity 63
32.03 deg, intensity 44
33.35 deg, intensity 72
34.06 deg, intensity 100
36.93 deg, intensity 37
57.53 deg, intensity 39


10.
This entry pairs a crystal structure of TbErTePb with its calculated X-ray powder pattern. Radiation: Cu Kα (λ = 1.5418 Å). Structure: a crystal structure in Alexandria, relaxed with PBE.
Lines closer than 0.1° are merged.

Structure:
Cell: 4.4038 4.4038 6.2026 Å, 90.00 90.00 90.00°
Space group P4/mmm (No. 123)
Asymmetric unit:
Tb: 0.0000 0.0000 0.0000
Er: 0.5000 0.5000 0.5000
Te: 0.0000 0.0000 0.5000
Pb: 0.5000 0.5000 0.0000

Principal peaks in the range 10° ≤ 2θ ≤ 90°, in order of rising 2θ:
28.67 deg, intensity 87
28.79 deg, intensity 43
41.05 deg, intensity 100
50.86 deg, intensity 36
67.26 deg, intensity 31
74.72 deg, intensity 23


11.
This entry pairs a crystal structure of YMn9Fe3 with its calculated X-ray powder pattern. Radiation: Cu Kα (λ = 1.5418 Å). Structure: a crystal structure in Alexandria, relaxed with PBE.
Lines closer than 0.1° are merged.

Structure:
Cell: 4.6868 11.7146 6.3195 Å, 90.00 111.42 90.00°
Space group C2/m (No. 12)
Asymmetric unit:
Y: 0.0000 0.0000 0.0000
Mn: 0.0000 0.5000 0.5000
Mn: 0.1124 0.3865 0.2278
Mn: 0.1806 0.1809 0.3606
Fe: 0.0000 0.0000 0.5000
Fe: 0.2500 0.2500 0.0000

Principal peaks in the range 10° ≤ 2θ ≤ 90°, in order of rising 2θ:
37.83 deg, intensity 22
43.61 deg, intensity 100
43.87 deg, intensity 77
44.31 deg, intensity 43
44.48 deg, intensity 42
49.86 deg, intensity 39


12.
This entry pairs a crystal structure of Ba8SbPt2 with its calculated X-ray powder pattern. Radiation: Cu Kα (λ = 1.5418 Å). Structure: a crystal structure in Alexandria, relaxed with PBE.
Lines closer than 0.1° are merged.

Structure:
Cell: 6.5138 10.5935 10.5986 Å, 60.03 89.99 90.00°
Space group P-1 (No. 2)
Asymmetric unit:
Ba: 0.2407 0.3333 0.3335
Ba: 0.2541 0.3350 0.8340
Ba: 0.2541 0.8312 0.3349
Ba: 0.2540 0.8337 0.8313
Sb: 0.5000 0.0000 0.0000
Pt: 0.2680 0.6667 0.6665

Principal peaks in the range 10° ≤ 2θ ≤ 90°, in order of rising 2θ:
16.71 deg, intensity 92
19.34 deg, intensity 47
23.72 deg, intensity 58
29.15 deg, intensity 38
33.79 deg, intensity 100
44.06 deg, intensity 54